(1)
The following is a theoretical powder diffraction line list of LiThP2Ir7. It was derived from DFT lattice parameters and positions (GGA-PBE), using Cu Kα, 1.54184 Å.
Lines closer than 0.1° are merged.

Main lines, in order of rising 2θ (10 to 90 degrees two-theta):
two_theta  I_rel
35.52  100
41.36  19
43.17  42
58.23  12
62.70  14
65.65  12
74.18  25
75.92  12

Structural model:
Cell lengths 10.125, 10.125, 10.125 Å; angles 156.11, 156.11, 34.04 degrees
Element x y z (fractional)
Li  0.000  0.000  0.000
Th  0.250  0.750  0.500
P  0.581  0.081  0.500
P  0.919  0.419  0.500
Ir  0.035  0.535  0.500
Ir  0.140  0.140  0.000
Ir  0.365  0.365  0.000
Ir  0.465  0.965  0.500
Ir  0.635  0.635  0.000
Ir  0.750  0.250  0.500
Ir  0.860  0.860  0.000


(2)
The following is a theoretical powder diffraction line list of LiPaSbIr. It was derived from DFT lattice parameters and positions (GGA-PBE), using Cu Kα, 1.54184 Å.
Lines closer than 0.1° are merged.

Main lines, in order of rising 2θ (10 to 90 degrees two-theta):
two_theta  I_rel
22.78  36
26.36  10
37.63  100
44.44  19
54.27  18
59.60  8
67.92  36
80.33  11

Structural model:
Cell lengths 6.761, 6.761, 6.761 Å; angles 90.00, 90.00, 90.00 degrees
Element x y z (fractional)
Li  0.000  0.000  0.000
Li  0.000  0.500  0.500
Li  0.500  0.000  0.500
Li  0.500  0.500  0.000
Pa  0.250  0.250  0.750
Pa  0.250  0.750  0.250
Pa  0.750  0.250  0.250
Pa  0.750  0.750  0.750
Sb  0.250  0.250  0.250
Sb  0.250  0.750  0.750
Sb  0.750  0.250  0.750
Sb  0.750  0.750  0.250
Ir  0.000  0.000  0.500
Ir  0.000  0.500  0.000
Ir  0.500  0.000  0.000
Ir  0.500  0.500  0.500